(1)
Diffraction record for U2Al3Si3. The PXRD pattern is computed, not measured: it uses a structure optimized by DFT (GGA-PBE) and Cu Kα (λ = 1.5418 Å).
Peak positions follow from Bragg's law for the DFT cell and can differ from measured ones.

Main lines, in order of falling intensity (15° ≤ 2θ ≤ 90°):
d (Å)	2θ (°)	I (rel.)	hkl
2.391	37.6	100	1 1 2
4.270	20.8	46	0 1 0
4.163	21.3	42	1 0 0
2.981	30.0	37	1 1 0
4.006	22.2	37	0 0 2
2.921	30.6	35	0 1 2
2.887	31.0	35	1 0 2
2.135	42.3	18	0 2 0
2.082	43.5	17	2 0 0
1.716	53.4	16	1 2 2

Crystal structure
```
data_U2Al3Si3
_symmetry_space_group_name_H-M 'P m m m'
_symmetry_Int_Tables_number 47
_cell_length_a 4.1630
_cell_length_b 4.2700
_cell_length_c 8.0116
_cell_angle_alpha 90.00
_cell_angle_beta 90.00
_cell_angle_gamma 90.00
loop_
_symmetry_equiv_pos_as_xyz
'x,y,z'
'-x,-y,-z'
'-x,-y,z'
'x,y,-z'
'x,-y,-z'
'-x,y,z'
'-x,y,-z'
'x,-y,z'
loop_
_atom_site_label
_atom_site_fract_x
_atom_site_fract_y
_atom_site_fract_z
_atom_site_occupancy
U1 0.0000 0.0000 0.2396 1
Al1 0.0000 0.5000 0.5000 1
Al2 0.5000 0.5000 0.2491 1
Si1 0.0000 0.5000 0.0000 1
Si2 0.5000 0.0000 0.0000 1
Si3 0.5000 0.0000 0.5000 1
```

(2)
Diffraction record for U2Al3Si. The PXRD pattern is computed, not measured: it uses a structure optimized by DFT (GGA-PBE) and Cu Kα (λ = 1.5418 Å).
Peak positions follow from Bragg's law for the DFT cell and can differ from measured ones.

Main lines, in order of falling intensity (15° ≤ 2θ ≤ 90°):
d (Å)	2θ (°)	I (rel.)	hkl
2.289	39.4	100	1 1 3
4.381	20.3	85	1 0 1
2.681	33.4	76	1 1 0
2.693	33.3	76	1 0 4
2.298	39.2	34	0 1 5
1.461	63.7	34	1 2 5
1.550	59.7	30	2 1 4
4.408	20.1	29	0 0 3
1.900	47.9	17	0 2 4
1.557	59.3	15	0 1 8

Crystal structure
```
data_U2Al3Si
_symmetry_space_group_name_H-M 'R -3 m'
_symmetry_Int_Tables_number 166
_symmetry_space_group_name_Hall '-R 3 2"'
_cell_length_a 5.3611
_cell_length_b 5.3611
_cell_length_c 13.2233
_cell_angle_alpha 90.00
_cell_angle_beta 90.00
_cell_angle_gamma 120.00
loop_
_atom_site_label
_atom_site_fract_x
_atom_site_fract_y
_atom_site_fract_z
_atom_site_occupancy
U1 0.0000 0.0000 0.1248 1
Al1 0.0000 0.5000 0.0000 1
Si1 0.0000 0.0000 0.5000 1
```

(3)
Diffraction record for AlV12Si3. The PXRD pattern is computed, not measured: it uses a structure optimized by DFT (GGA-PBE) and Cu Kα (λ = 1.5418 Å).
Peak positions follow from Bragg's law for the DFT cell and can differ from measured ones.

Main lines, in order of falling intensity (15° ≤ 2θ ≤ 90°):
d (Å)	2θ (°)	I (rel.)	hkl
2.115	42.8	100	1 2 0
1.931	47.1	45	1 1 4
2.365	38.1	22	2 0 0
1.264	75.1	14	2 1 6
1.312	72.0	12	2 3 0
1.365	68.8	10	2 2 4
3.344	26.7	9	0 1 2
1.263	75.2	7	3 2 2
1.183	81.3	7	0 4 0
1.311	72.0	6	3 0 4

Crystal structure
```
data_AlV12Si3
_symmetry_space_group_name_H-M 'P m m m'
_symmetry_Int_Tables_number 47
_cell_length_a 4.7235
_cell_length_b 4.7302
_cell_length_c 9.4691
_cell_angle_alpha 90.00
_cell_angle_beta 90.00
_cell_angle_gamma 90.00
loop_
_symmetry_equiv_pos_as_xyz
'x,y,z'
'-x,-y,-z'
'-x,-y,z'
'x,y,-z'
'x,-y,-z'
'-x,y,z'
'-x,y,-z'
'x,-y,z'
loop_
_atom_site_label
_atom_site_fract_x
_atom_site_fract_y
_atom_site_fract_z
_atom_site_occupancy
Al1 0.0000 0.0000 0.0000 1
V1 0.0000 0.2543 0.2549 1
V2 0.2515 0.5000 0.5000 1
V3 0.2597 0.5000 0.0000 1
V4 0.5000 0.0000 0.1287 1
V5 0.5000 0.0000 0.3736 1
Si1 0.0000 0.0000 0.5000 1
Si2 0.5000 0.5000 0.2509 1
```

(4)
Diffraction record for AlSi3W2. The PXRD pattern is computed, not measured: it uses a structure optimized by DFT (GGA-PBE) and Cu Kα (λ = 1.5418 Å).
Peak positions follow from Bragg's law for the DFT cell and can differ from measured ones.

Main lines, in order of falling intensity (15° ≤ 2θ ≤ 90°):
d (Å)	2θ (°)	I (rel.)	hkl
3.003	29.7	100	1 0 1
2.071	43.7	85	1 0 3
2.287	39.4	58	1 1 0
4.045	22.0	52	0 0 2
1.275	74.4	35	2 1 3
1.991	45.6	32	1 1 2
1.424	65.6	22	2 1 1
1.617	56.9	20	2 0 0
1.502	61.8	13	2 0 2
1.515	61.2	13	1 1 4

Crystal structure
```
data_AlSi3W2
_symmetry_space_group_name_H-M 'P 4 m m'
_symmetry_Int_Tables_number 99
_cell_length_a 3.2346
_cell_length_b 3.2346
_cell_length_c 8.0900
_cell_angle_alpha 90.00
_cell_angle_beta 90.00
_cell_angle_gamma 90.00
loop_
_symmetry_equiv_pos_as_xyz
'x,y,z'
'-y,x,z'
'-x,-y,z'
'y,-x,z'
'-x,y,z'
'y,x,z'
'x,-y,z'
'-y,-x,z'
loop_
_atom_site_label
_atom_site_fract_x
_atom_site_fract_y
_atom_site_fract_z
_atom_site_occupancy
Al1 0.0000 0.0000 0.0000 1
Si1 0.0000 0.0000 0.6669 1
Si2 0.5000 0.5000 0.1672 1
Si3 0.5000 0.5000 0.4980 1
W1 0.0000 0.0000 0.3355 1
W2 0.5000 0.5000 0.8199 1
```

(5)
Diffraction record for Y2AlSi2. The PXRD pattern is computed, not measured: it uses a structure optimized by DFT (GGA-PBE) and Cu Kα (λ = 1.5418 Å).
Peak positions follow from Bragg's law for the DFT cell and can differ from measured ones.

Main lines, in order of falling intensity (15° ≤ 2θ ≤ 90°):
d (Å)	2θ (°)	I (rel.)	hkl
2.646	33.9	100	1 1 2
3.333	26.7	45	1 1 0
2.423	37.1	32	0 2 2
2.286	39.4	24	1 2 1
2.597	34.5	21	0 1 3
2.360	38.1	20	1 0 3
2.918	30.6	20	0 2 0
1.403	66.7	20	1 2 5
2.030	44.6	20	2 0 0
1.556	59.4	16	2 2 2

Crystal structure
```
data_Y2AlSi2
_symmetry_space_group_name_H-M 'I m m m'
_symmetry_Int_Tables_number 71
_symmetry_space_group_name_Hall '-I 2 2'
_cell_length_a 4.0598
_cell_length_b 5.8360
_cell_length_c 8.7005
_cell_angle_alpha 90.00
_cell_angle_beta 90.00
_cell_angle_gamma 90.00
loop_
_atom_site_label
_atom_site_fract_x
_atom_site_fract_y
_atom_site_fract_z
_atom_site_occupancy
Y1 0.0000 0.0000 0.2111 1
Al1 0.0000 0.5000 0.0000 1
Si1 0.0000 0.2890 0.5000 1
```

(6)
Diffraction record for YAl2Si2. The PXRD pattern is computed, not measured: it uses a structure optimized by DFT (GGA-PBE) and Cu Kα (λ = 1.5418 Å).
Peak positions follow from Bragg's law for the DFT cell and can differ from measured ones.

Main lines, in order of falling intensity (15° ≤ 2θ ≤ 90°):
d (Å)	2θ (°)	I (rel.)	hkl
3.191	28.0	100	0 1 1
2.443	36.8	67	0 1 2
2.107	42.9	51	1 1 0
1.519	61.0	20	1 1 3
1.596	57.8	17	2 0 2
1.758	52.0	17	2 0 1
1.272	74.6	16	1 2 2
1.879	48.4	14	1 0 3
1.350	69.7	14	1 2 1
2.192	41.2	11	0 0 3

Crystal structure
```
data_YAl2Si2
_symmetry_space_group_name_H-M 'P -3 m 1'
_symmetry_Int_Tables_number 164
_symmetry_space_group_name_Hall '-P 3 2"'
_cell_length_a 4.2139
_cell_length_b 4.2139
_cell_length_c 6.5774
_cell_angle_alpha 90.00
_cell_angle_beta 90.00
_cell_angle_gamma 120.00
loop_
_atom_site_label
_atom_site_fract_x
_atom_site_fract_y
_atom_site_fract_z
_atom_site_occupancy
Y1 0.0000 0.0000 0.0000 1
Al1 0.3333 0.6667 0.6447 1
Si1 0.3333 0.6667 0.2603 1
```